For Pm6Co3O14, DFT lattice parameters and positions (PBE+U) gives the theoretical powder diffraction line list in this record (Cu Ka).
Lines closer than 0.1° are merged.

Largest 10 diffraction maxima, most intense first, 15 to 90 degrees two-theta:
- 30.2 deg, rel. 1000
- 27.5 deg, rel. 432
- 32.5 deg, rel. 316
- 48.5 deg, rel. 286
- 48.8 deg, rel. 240
- 21.3 deg, rel. 198
- 44.9 deg, rel. 195
- 24.4 deg, rel. 195
- 35.3 deg, rel. 190
- 43.4 deg, rel. 182

Structural model:
```
data_Pm6Co3O14
_space_group_name_H-M_alt 'P 3'
_space_group_IT_number 143
_space_group_name_Hall 'P 3'
_cell_length_a 8.4117
_cell_length_b 8.4117
_cell_length_c 5.0796
_cell_angle_alpha 90.00
_cell_angle_beta 90.00
_cell_angle_gamma 120.00
loop_
_atom_site_label
_atom_site_type_symbol
_atom_site_fract_x
_atom_site_fract_y
_atom_site_fract_z
_atom_site_occupancy
Pm1 Pm 0.0266 0.5693 0.0000 1
Pm2 Pm 0.2926 0.0867 0.5219 1
Co1 Co 0.0000 0.0000 0.9622 1
Co2 Co 0.3333 0.6667 0.4422 1
Co3 Co 0.6667 0.3333 0.3245 1
O1 O 0.0000 0.0000 0.3225 1
O2 O 0.0727 0.8469 0.7948 1
O3 O 0.1949 0.4565 0.2745 1
O4 O 0.3333 0.6667 0.7916 1
O5 O 0.4338 0.1848 0.0994 1
O6 O 0.5155 0.4140 0.5428 1
```